Theoretical powder X-ray diffraction pattern of Cs4Pa3CuO12 for Cu Kα (weighted mean of Kα1 and Kα2), from a cell relaxed with GGA-PBE.
Kinematic intensities with the Lorentz-polarization factor, no thermal factor.

Crystal structure
a = 7.651 Å, b = 7.651 Å, c = 7.651 Å
α = 109.47°, β = 109.47°, γ = 109.47°
Element x y z (fractional)
Cs 0.000 0.000 0.500
Cs 0.000 0.500 0.000
Cs 0.500 0.000 0.000
Cs 0.500 0.500 0.500
Pa 0.000 0.500 0.500
Pa 0.500 0.000 0.500
Pa 0.500 0.500 0.000
Cu 0.000 0.000 0.000
O 0.000 0.263 0.263
O 0.000 0.737 0.737
O 0.250 0.500 0.750
O 0.250 0.750 0.500
O 0.263 0.000 0.263
O 0.263 0.263 0.000
O 0.500 0.250 0.750
O 0.500 0.750 0.250
O 0.737 0.000 0.737
O 0.737 0.737 0.000
O 0.750 0.250 0.500
O 0.750 0.500 0.250

The 10 most intense peaks (2θ = 5–70°), low angle first:
- 6.247 Å, I 9
- 4.418 Å, I 7
- 3.607 Å, I 5
- 3.124 Å, I 100
- 2.361 Å, I 3
- 2.209 Å, I 28
- 1.976 Å, I 3
- 1.803 Å, I 42
- 1.562 Å, I 18
- 1.397 Å, I 19



Theoretical powder X-ray diffraction pattern of CsCuPbO2 for Cu Kα (weighted mean of Kα1 and Kα2), from a cell relaxed with GGA-PBE.
Kinematic intensities with the Lorentz-polarization factor, no thermal factor.

Crystal structure
a = 7.717 Å, b = 7.717 Å, c = 4.851 Å
α = 90.00°, β = 90.00°, γ = 124.42°
Element x y z (fractional)
Cs 0.250 0.750 0.776
Cs 0.750 0.250 0.224
Cu 0.000 0.000 0.000
Cu 0.500 0.500 0.000
Pb 0.250 0.250 0.500
Pb 0.750 0.750 0.500
O 0.099 0.901 0.256
O 0.401 0.599 0.256
O 0.599 0.401 0.744
O 0.901 0.099 0.744

The 10 most intense peaks (2θ = 5–70°), low angle first:
- 6.827 Å, I 82
- 3.954 Å, I 48
- 3.858 Å, I 45
- 3.413 Å, I 100
- 3.183 Å, I 76
- 3.014 Å, I 54
- 2.890 Å, I 80
- 2.661 Å, I 94
- 2.286 Å, I 72
- 2.206 Å, I 76



Theoretical powder X-ray diffraction pattern of CsPm2Cu2O6 for Cu Kα (weighted mean of Kα1 and Kα2), from a cell relaxed with GGA-PBE.
Kinematic intensities with the Lorentz-polarization factor, no thermal factor.

Crystal structure
a = 6.450 Å, b = 6.655 Å, c = 6.702 Å
α = 117.94°, β = 92.93°, γ = 117.17°
Element x y z (fractional)
Cs 0.000 0.000 0.000
Pm 0.318 0.641 0.683
Pm 0.682 0.359 0.317
Cu 0.356 0.722 0.257
Cu 0.644 0.278 0.743
O 0.083 0.571 0.339
O 0.478 0.371 0.604
O 0.494 0.113 0.888
O 0.506 0.887 0.112
O 0.522 0.629 0.396
O 0.917 0.429 0.661

The 10 most intense peaks (2θ = 5–70°), low angle first:
- 5.502 Å, I 100
- 5.392 Å, I 34
- 3.353 Å, I 38
- 3.221 Å, I 90
- 2.932 Å, I 66
- 2.924 Å, I 78
- 2.909 Å, I 49
- 2.801 Å, I 58
- 2.751 Å, I 35
- 2.140 Å, I 45